For V2CuH3O7, a structure optimized by DFT (PBE+U) gives the calculated powder diffractogram in this record (Cu Kα (weighted mean of Kα1 and Kα2)).
Kinematic intensities with the Lorentz-polarization factor, no thermal factor.

Peak list (10 most intense, 2θ from 10° to 90°, sorted by position)
4.910 Å, 18.1°, I 77
4.070 Å, 21.8°, I 100
4.041 Å, 22.0°, I 69
3.341 Å, 26.7°, I 43
3.252 Å, 27.4°, I 30
3.139 Å, 28.4°, I 37
3.121 Å, 28.6°, I 56
2.822 Å, 31.7°, I 72
2.759 Å, 32.5°, I 44
2.553 Å, 35.2°, I 39

Cell and atoms:
Cell lengths 5.1616, 5.3970, 10.4952 Å; angles 100.22, 101.55, 100.89 degrees
Space group P-1 (No. 2)
Unique sites:
V 0.1472 0.1581 0.2238 x2
V 0.3184 0.4280 0.8297 x2
Cu 0.0000 0.0000 0.5000 x1
Cu 0.5000 0.0000 0.0000 x1
H 0.1627 0.6061 0.4244 x2
H 0.2095 0.6753 0.0816 x2
H 0.4105 0.7889 0.5392 x2
O 0.0042 0.5812 0.7833 x2
O 0.0677 0.1338 0.8710 x2
O 0.2080 0.7270 0.5118 x2
O 0.2369 0.1385 0.3882 x2
O 0.3451 0.2767 0.6839 x2
O 0.3691 0.6632 0.0447 x2
O 0.4404 0.2158 0.1572 x2